1.
This entry pairs a crystal structure of Cu7Te6O18F2 with its simulated powder diffraction line list. Radiation: Cu Ka. Structure: a DFT-relaxed cell (PBE, the Materials Project).

Structural model:
a = 5.057 Å, b = 9.645 Å, c = 10.030 Å
α = 82.48°, β = 76.69°, γ = 80.48°
Space group P-1 (No. 2)
One atom of each set of equivalent atoms:
Cu  0.000  0.000  0.000 (multiplicity 1)
Cu  0.119  0.346  0.569 (multiplicity 2)
Cu  0.182  0.564  0.072 (multiplicity 2)
Cu  0.437  0.819  0.211 (multiplicity 2)
Te  0.170  0.018  0.642 (multiplicity 2)
Te  0.339  0.223  0.091 (multiplicity 2)
Te  0.401  0.571  0.676 (multiplicity 2)
O  0.057  0.378  0.063 (multiplicity 2)
O  0.063  0.805  0.320 (multiplicity 2)
O  0.066  0.921  0.822 (multiplicity 2)
O  0.252  0.398  0.727 (multiplicity 2)
O  0.267  0.504  0.447 (multiplicity 2)
O  0.280  0.121  0.946 (multiplicity 2)
O  0.355  0.731  0.062 (multiplicity 2)
O  0.446  0.435  0.164 (multiplicity 2)
O  0.497  0.928  0.347 (multiplicity 2)
F  0.240  0.223  0.416 (multiplicity 2)

Peak list (8 most intense, 5 to 70 degrees two-theta, in order of falling intensity)
(1 -2 1), 2θ = 28.89°, intensity 100.0; (1 0 -2), 2θ = 28.58°, intensity 76.9; (0 2 -1), 2θ = 21.66°, intensity 57.7; (1 1 3), 2θ = 29.52°, intensity 55.8; (2 1 1), 2θ = 35.68°, intensity 44.9; (1 3 0), 2θ = 31.54°, intensity 37.0; (0 2 -3), 2θ = 35.06°, intensity 30.7; (1 3 1), 2θ = 30.92°, intensity 28.3


2.
This entry pairs a crystal structure of Tl2CoSe2 with its simulated powder diffraction line list. Radiation: Cu Ka. Structure: a DFT-relaxed cell (PBE, the Materials Project).

Structural model:
a = 5.034 Å, b = 5.034 Å, c = 12.256 Å
α = 90.00°, β = 90.00°, γ = 90.00°
Space group I4/mmm (No. 139)
One atom of each set of equivalent atoms:
Tl  0.000  0.500  0.250 (multiplicity 4)
Co  0.000  0.000  0.000 (multiplicity 2)
Se  0.000  0.000  0.402 (multiplicity 4)

Peak list (8 most intense, 5 to 70 degrees two-theta, in order of falling intensity)
(1 1 2), 2θ = 29.01°, intensity 100.0; (2 0 0), 2θ = 35.67°, intensity 42.3; (0 0 2), 2θ = 14.45°, intensity 37.4; (1 1 4), 2θ = 38.78°, intensity 37.2; (3 1 2), 2θ = 60.05°, intensity 31.5; (3 1 4), 2θ = 66.14°, intensity 16.0; (2 2 0), 2θ = 51.33°, intensity 15.0; (2 0 2), 2θ = 38.67°, intensity 14.3